For Li3Sm2Hg4, a crystal structure in Alexandria, relaxed with GGA-PBE gives the simulated powder diffraction line list in this record (Cu Kα).
Lines closer than 0.1° are merged.

Cell and atoms:
a b c (Å): 4.9780 5.1723 9.1376
angles (deg): 81.01 89.96 61.25
Positions (direct):
Li (0.0000, 0.0000, 0.0000)
Li (0.3657, 0.2672, 0.4256)
Li (0.6343, 0.7328, 0.5744)
Sm (0.2987, 0.4035, 0.7676)
Sm (0.7013, 0.5965, 0.2324)
Hg (0.0542, 0.8904, 0.3591)
Hg (0.3559, 0.2874, 0.1117)
Hg (0.6441, 0.7126, 0.8883)
Hg (0.9458, 0.1096, 0.6409)

Principal peaks in the range 2θ = 10–80°, low angle first:
hkl 1 0 -1, 2θ = 21.9°, I = 42; hkl 1 1 -1, 2θ = 23.5°, I = 44; hkl 0 1 -2, 2θ = 30.6°, I = 33; hkl 1 1 3, 2θ = 34.9°, I = 100; hkl 1 2 1, 2θ = 35.0°, I = 43; hkl 1 -1 0, 2θ = 35.1°, I = 54; hkl 2 1 0, 2θ = 36.1°, I = 46; hkl 0 1 -3, 2θ = 39.1°, I = 19; hkl 2 2 -2, 2θ = 48.0°, I = 19; hkl 1 3 -2, 2θ = 62.1°, I = 19; hkl 3 2 3, 2θ = 64.1°, I = 17; hkl 2 4 1, 2θ = 73.3°, I = 17